Record 1
Computed PXRD pattern
Compound: NdIO5
Radiation: Cu Kα (λ = 1.5418 Å)
Structure: the PBE geometry in Alexandria
Lines closer than 0.1° are merged.

Most intense lines, 10 to 90 degrees two-theta, low angle first:
d [Å], Position (°2θ), I/Imax
4.129, 21.5, 92
3.356, 26.6, 100
3.299, 27.0, 43
2.604, 34.4, 59
2.577, 34.8, 25
1.758, 52.0, 29

Structural model:
```
NdIO5
1.0
4.5672 -3.2986 0.0000
4.5672 3.2986 0.0000
-3.3320 0.0000 7.0489
Nd I O
2 2 10
direct
0.0401 0.9599 0.7500
0.9599 0.0401 0.2500
0.5000 0.5000 0.0000
0.5000 0.5000 0.5000
0.2073 0.7756 0.0274
0.2244 0.7927 0.4726
0.2664 0.2908 0.3871
0.2908 0.2664 0.8871
0.4192 0.5808 0.7500
0.5808 0.4192 0.2500
0.7092 0.7336 0.1129
0.7336 0.7092 0.6129
0.7756 0.2073 0.5274
0.7927 0.2244 0.9726
```

Record 2
Computed PXRD pattern
Compound: Pr5SmTm
Radiation: Cu Kα (λ = 1.5418 Å)
Structure: the PBE geometry in Alexandria
Lines closer than 0.1° are merged.

Most intense lines, 10 to 90 degrees two-theta, low angle first:
d [Å], Position (°2θ), I/Imax
6.120, 14.5, 100
4.422, 20.1, 74
3.060, 29.2, 95
2.978, 30.0, 88
2.642, 33.9, 66
2.134, 42.3, 69

Structural model:
```
Pr5SmTm
1.0
13.6055 0.0000 0.0000
0.0000 8.8450 0.0000
-2.6007 0.0000 5.3585
Pr Sm Tm
10 2 2
direct
0.0000 0.0000 0.0000
0.0000 0.3244 0.5000
0.0000 0.6756 0.5000
0.2491 0.0000 0.7490
0.2509 0.5000 0.2510
0.5000 0.1756 0.5000
0.5000 0.5000 0.0000
0.5000 0.8244 0.5000
0.7491 0.5000 0.7490
0.7509 0.0000 0.2510
0.0000 0.0000 0.5000
0.5000 0.5000 0.5000
0.0000 0.5000 0.0000
0.5000 0.0000 0.0000
```

> Which formula does entry 1 have?

NdIO5